[1]
The following is a computed powder diffractogram of Li8HgPt2. It was derived from a DFT-relaxed cell (GGA-PBE, Alexandria), using CuKα.
Neutral-atom scattering factors, no anomalous dispersion.

Largest 10 diffraction maxima, sorted by position, 2θ = 5–70°:
| 2theta | d/Å | I_rel |
| --- | --- | --- |
| 16.4 | 5.419 | 13.8 |
| 22.2 | 4.002 | 52.2 |
| 25.1 | 3.541 | 100.0 |
| 27.1 | 3.293 | 37.8 |
| 39.5 | 2.283 | 27.9 |
| 40.8 | 2.211 | 32.9 |
| 42.1 | 2.146 | 14.2 |
| 45.8 | 1.983 | 32.0 |
| 48.6 | 1.874 | 15.9 |
| 51.2 | 1.783 | 13.5 |

a b c (Å): 6.736 6.736 4.240
angles (deg): 90.00 90.00 107.11
Positions (direct):
Li: 0.154 0.154 0.000
Li: 0.181 0.467 0.500
Li: 0.241 0.759 0.000
Li: 0.467 0.181 0.500
Li: 0.533 0.819 0.500
Li: 0.759 0.241 0.000
Li: 0.819 0.533 0.500
Li: 0.846 0.846 0.000
Hg: 0.500 0.500 0.000
Pt: 0.122 0.878 0.500
Pt: 0.878 0.122 0.500

---

[2]
The following is a computed powder diffractogram of CaHgAu6. It was derived from a DFT-relaxed cell (GGA-PBE, Alexandria), using CuKα.
Neutral-atom scattering factors, no anomalous dispersion.

Largest 10 diffraction maxima, sorted by position, 2θ = 5–70°:
| 2theta | d/Å | I_rel |
| --- | --- | --- |
| 16.3 | 5.449 | 6.5 |
| 23.1 | 3.853 | 5.7 |
| 28.4 | 3.146 | 2.5 |
| 32.9 | 2.725 | 21.2 |
| 36.9 | 2.437 | 100.0 |
| 40.6 | 2.225 | 48.1 |
| 58.7 | 1.573 | 12.2 |
| 61.3 | 1.511 | 23.3 |
| 63.9 | 1.456 | 25.4 |
| 68.9 | 1.362 | 12.9 |

a b c (Å): 5.449 5.449 5.449
angles (deg): 90.00 90.00 90.00
Positions (direct):
Ca: 0.000 0.000 0.000
Hg: 0.500 0.500 0.500
Au: 0.000 0.250 0.500
Au: 0.000 0.750 0.500
Au: 0.250 0.500 0.000
Au: 0.500 0.000 0.250
Au: 0.500 0.000 0.750
Au: 0.750 0.500 0.000

---

[3]
The following is a computed powder diffractogram of Li3Pm. It was derived from a DFT-relaxed cell (GGA-PBE, Alexandria), using CuKα.
Neutral-atom scattering factors, no anomalous dispersion.

Largest 10 diffraction maxima, sorted by position, 2θ = 5–70°:
| 2theta | d/Å | I_rel |
| --- | --- | --- |
| 5.5 | 16.140 | 100.0 |
| 11.0 | 8.070 | 8.9 |
| 26.4 | 3.380 | 4.4 |
| 28.1 | 3.177 | 11.6 |
| 30.7 | 2.908 | 13.3 |
| 34.2 | 2.625 | 9.3 |
| 36.8 | 2.444 | 5.0 |
| 37.2 | 2.416 | 5.4 |
| 50.5 | 1.809 | 3.3 |
| 62.5 | 1.486 | 3.5 |

a b c (Å): 3.456 3.456 16.140
angles (deg): 90.00 90.00 90.00
Positions (direct):
Li: 0.250 0.250 0.053
Li: 0.250 0.250 0.267
Li: 0.250 0.250 0.837
Li: 0.750 0.750 0.163
Li: 0.750 0.750 0.733
Li: 0.750 0.750 0.947
Pm: 0.250 0.250 0.581
Pm: 0.750 0.750 0.419

---

[4]
The following is a computed powder diffractogram of Li6AgPb2. It was derived from a DFT-relaxed cell (GGA-PBE, Alexandria), using CuKα.
Neutral-atom scattering factors, no anomalous dispersion.

Largest 10 diffraction maxima, sorted by position, 2θ = 5–70°:
| 2theta | d/Å | I_rel |
| --- | --- | --- |
| 14.8 | 5.970 | 22.4 |
| 20.7 | 4.283 | 24.6 |
| 23.8 | 3.743 | 54.1 |
| 24.1 | 3.689 | 100.0 |
| 29.9 | 2.985 | 22.0 |
| 30.2 | 2.957 | 47.0 |
| 37.7 | 2.388 | 42.5 |
| 38.4 | 2.343 | 53.5 |
| 45.6 | 1.989 | 24.8 |
| 57.8 | 1.594 | 18.5 |

a b c (Å): 8.324 8.566 4.693
angles (deg): 90.00 90.00 90.00
Positions (direct):
Li: 0.000 0.179 0.000
Li: 0.000 0.821 0.000
Li: 0.161 0.400 0.500
Li: 0.173 0.073 0.500
Li: 0.327 0.573 0.000
Li: 0.339 0.900 0.000
Li: 0.500 0.321 0.500
Li: 0.500 0.679 0.500
Li: 0.661 0.100 0.000
Li: 0.673 0.427 0.000
Li: 0.827 0.927 0.500
Li: 0.839 0.600 0.500
Ag: 0.000 0.500 0.000
Ag: 0.500 0.000 0.500
Pb: 0.165 0.735 0.500
Pb: 0.335 0.235 0.000
Pb: 0.665 0.765 0.000
Pb: 0.835 0.265 0.500

---

[5]
The following is a computed powder diffractogram of DyAg5Pd6. It was derived from a DFT-relaxed cell (GGA-PBE, Alexandria), using CuKα.
Neutral-atom scattering factors, no anomalous dispersion.

Largest 10 diffraction maxima, sorted by position, 2θ = 5–70°:
| 2theta | d/Å | I_rel |
| --- | --- | --- |
| 12.6 | 7.047 | 0.7 |
| 38.1 | 2.362 | 100.0 |
| 38.2 | 2.355 | 49.3 |
| 38.3 | 2.349 | 49.2 |
| 42.5 | 2.129 | 73.1 |
| 48.0 | 1.894 | 25.3 |
| 61.4 | 1.511 | 11.9 |
| 61.8 | 1.500 | 11.5 |
| 65.9 | 1.417 | 18.8 |
| 66.1 | 1.414 | 18.9 |

a b c (Å): 4.840 6.042 7.088
angles (deg): 90.00 96.17 90.00
Positions (direct):
Dy: 0.000 0.000 0.000
Ag: 0.000 0.500 0.000
Ag: 0.340 0.500 0.669
Ag: 0.344 0.000 0.663
Ag: 0.656 0.000 0.337
Ag: 0.660 0.500 0.331
Pd: 0.159 0.252 0.334
Pd: 0.159 0.748 0.334
Pd: 0.500 0.254 0.000
Pd: 0.500 0.746 0.000
Pd: 0.841 0.252 0.666
Pd: 0.841 0.748 0.666

---

Repeat the third record exactly.
The following is a computed powder diffractogram of Li3Pm. It was derived from a DFT-relaxed cell (GGA-PBE, Alexandria), using CuKα.
Neutral-atom scattering factors, no anomalous dispersion.

Largest 10 diffraction maxima, sorted by position, 2θ = 5–70°:
| 2theta | d/Å | I_rel |
| --- | --- | --- |
| 5.5 | 16.140 | 100.0 |
| 11.0 | 8.070 | 8.9 |
| 26.4 | 3.380 | 4.4 |
| 28.1 | 3.177 | 11.6 |
| 30.7 | 2.908 | 13.3 |
| 34.2 | 2.625 | 9.3 |
| 36.8 | 2.444 | 5.0 |
| 37.2 | 2.416 | 5.4 |
| 50.5 | 1.809 | 3.3 |
| 62.5 | 1.486 | 3.5 |

a b c (Å): 3.456 3.456 16.140
angles (deg): 90.00 90.00 90.00
Positions (direct):
Li: 0.250 0.250 0.053
Li: 0.250 0.250 0.267
Li: 0.250 0.250 0.837
Li: 0.750 0.750 0.163
Li: 0.750 0.750 0.733
Li: 0.750 0.750 0.947
Pm: 0.250 0.250 0.581
Pm: 0.750 0.750 0.419

---

What did the fifth record say?
The following is a computed powder diffractogram of DyAg5Pd6. It was derived from a DFT-relaxed cell (GGA-PBE, Alexandria), using CuKα.
Neutral-atom scattering factors, no anomalous dispersion.

Largest 10 diffraction maxima, sorted by position, 2θ = 5–70°:
| 2theta | d/Å | I_rel |
| --- | --- | --- |
| 12.6 | 7.047 | 0.7 |
| 38.1 | 2.362 | 100.0 |
| 38.2 | 2.355 | 49.3 |
| 38.3 | 2.349 | 49.2 |
| 42.5 | 2.129 | 73.1 |
| 48.0 | 1.894 | 25.3 |
| 61.4 | 1.511 | 11.9 |
| 61.8 | 1.500 | 11.5 |
| 65.9 | 1.417 | 18.8 |
| 66.1 | 1.414 | 18.9 |

a b c (Å): 4.840 6.042 7.088
angles (deg): 90.00 96.17 90.00
Positions (direct):
Dy: 0.000 0.000 0.000
Ag: 0.000 0.500 0.000
Ag: 0.340 0.500 0.669
Ag: 0.344 0.000 0.663
Ag: 0.656 0.000 0.337
Ag: 0.660 0.500 0.331
Pd: 0.159 0.252 0.334
Pd: 0.159 0.748 0.334
Pd: 0.500 0.254 0.000
Pd: 0.500 0.746 0.000
Pd: 0.841 0.252 0.666
Pd: 0.841 0.748 0.666